[1]
Starting from a crystal structure in Alexandria, relaxed with GGA-PBE, the powder diffraction line list of Na6VP4 was calculated for Cu Kα.

The 10 most intense peaks (2θ = 10–90°), most intense first:
2θ 39.4, I 100
2θ 32.5, I 83
2θ 34.0, I 82
2θ 11.2, I 78
2θ 16.8, I 65
2θ 36.3, I 41
2θ 39.9, I 33
2θ 64.8, I 24
2θ 22.5, I 21
2θ 44.7, I 21

Structure:
```
data_Na6VP4
_chemical_formula_sum 'Na12 V2 P8'
_cell_length_a 9.1397
_cell_length_b 9.1397
_cell_length_c 7.0781
_cell_angle_alpha 90.00
_cell_angle_beta 90.00
_cell_angle_gamma 120.00
_symmetry_space_group_name_H-M 'P 63 m c'
_symmetry_Int_Tables_number 186
_symmetry_space_group_name_Hall 'P 6c -2c'
loop_
_atom_site_label
_atom_site_fract_x
_atom_site_fract_y
_atom_site_fract_z
_atom_site_occupancy
Na1 0.0607 0.5303 0.0000 1
Na2 0.1447 0.2894 0.3164 1
V1 0.3333 0.6667 0.6151 1
P1 0.1957 0.3914 0.7110 1
P2 0.3333 0.6667 0.2958 1
```

=====

[2]
Starting from a crystal structure in Alexandria, relaxed with GGA-PBE, the powder diffraction line list of MnRe was calculated for Cu Kα.

The 10 most intense peaks (2θ = 10–90°), most intense first:
2θ 45.1, I 100
2θ 34.8, I 36
2θ 12.3, I 30
2θ 41.9, I 29
2θ 35.3, I 21
2θ 78.8, I 19
2θ 27.8, I 19
2θ 24.8, I 15
2θ 81.2, I 14
2θ 55.9, I 11

Structure:
```
data_MnRe
_chemical_formula_sum 'Mn8 Re8'
_cell_length_a 7.186
_cell_length_b 7.186
_cell_length_c 4.312
_cell_angle_alpha 90.00
_cell_angle_beta 90.00
_cell_angle_gamma 90.00
_symmetry_space_group_name_H-M 'P 4/m c c'
_symmetry_Int_Tables_number 124
_symmetry_space_group_name_Hall '-P 4 2c'
loop_
_atom_site_label
_atom_site_fract_x
_atom_site_fract_y
_atom_site_fract_z
_atom_site_occupancy
Mn1 0.065 0.234 0.000 1
Re1 0.236 0.409 0.500 1
```

=====

[3]
Starting from a crystal structure in Alexandria, relaxed with GGA-PBE, the powder diffraction line list of Ho4ErRu2 was calculated for Cu Kα.

The 10 most intense peaks (2θ = 10–90°), most intense first:
2θ 31.0, I 100
2θ 31.6, I 69
2θ 34.8, I 55
2θ 34.3, I 45
2θ 38.1, I 41
2θ 36.8, I 40
2θ 58.7, I 36
2θ 31.9, I 34
2θ 36.9, I 26
2θ 39.9, I 24

Structure:
```
data_Ho4ErRu2
_chemical_formula_sum 'Ho8 Er2 Ru4'
_cell_length_a 7.741
_cell_length_b 6.287
_cell_length_c 7.853
_cell_angle_alpha 90.00
_cell_angle_beta 112.52
_cell_angle_gamma 90.00
_symmetry_space_group_name_H-M 'P 1 21/m 1'
_symmetry_Int_Tables_number 11
loop_
_symmetry_equiv_pos_as_xyz
'x,y,z'
'-x,-y,-z'
'-x,y+1/2,-z'
'x,-y+1/2,z'
loop_
_atom_site_label
_atom_site_fract_x
_atom_site_fract_y
_atom_site_fract_z
_atom_site_occupancy
Ho1 0.122 0.250 0.479 1
Ho2 0.175 0.750 0.253 1
Ho3 0.258 0.501 0.915 1
Er1 0.473 0.250 0.336 1
Ru1 0.086 0.250 0.124 1
Ru2 0.478 0.250 0.756 1
```

=====

[4]
Starting from a crystal structure in Alexandria, relaxed with GGA-PBE, the powder diffraction line list of Sm4IrOs was calculated for Cu Kα.

The 10 most intense peaks (2θ = 10–90°), most intense first:
2θ 30.3, I 100
2θ 33.7, I 93
2θ 31.9, I 91
2θ 35.4, I 81
2θ 36.0, I 76
2θ 41.2, I 74
2θ 38.5, I 63
2θ 38.7, I 59
2θ 13.4, I 58
2θ 36.5, I 43

Structure:
```
data_Sm4IrOs
_chemical_formula_sum 'Sm16 Ir4 Os4'
_cell_length_a 9.116
_cell_length_b 13.219
_cell_length_c 6.388
_cell_angle_alpha 90.00
_cell_angle_beta 123.78
_cell_angle_gamma 90.00
_symmetry_space_group_name_H-M 'C 1 2/c 1'
_symmetry_Int_Tables_number 15
loop_
_symmetry_equiv_pos_as_xyz
'x,y,z'
'-x,-y,-z'
'-x,y,-z+1/2'
'x,-y,z+1/2'
'x+1/2,y+1/2,z'
'-x+1/2,-y+1/2,-z'
'-x+1/2,y+1/2,-z+1/2'
'x+1/2,-y+1/2,z+1/2'
loop_
_atom_site_label
_atom_site_fract_x
_atom_site_fract_y
_atom_site_fract_z
_atom_site_occupancy
Sm1 0.130 0.175 0.096 1
Sm2 0.196 0.436 0.266 1
Ir1 0.000 0.364 0.750 1
Os1 0.000 0.002 0.750 1
```